# K2W2O7
Theoretical powder diffractogram, Cu Kα. Input: a DFT-relaxed cell (PBE+U, Alexandria).
No peak broadening, texture or thermal motion is included.

Structure:
```
data_K2W2O7
_cell_length_a 7.521
_cell_length_b 10.552
_cell_length_c 8.062
_cell_angle_alpha 90.00
_cell_angle_beta 90.00
_cell_angle_gamma 90.00
_space_group_name_H-M_alt 'I m m a'
_space_group_IT_number 74
_space_group_name_Hall '-I 2b 2'
loop_
_atom_site_label
_atom_site_type_symbol
_atom_site_fract_x
_atom_site_fract_y
_atom_site_fract_z
K1 K 0.000 0.000 0.000
K2 K 0.250 0.250 0.250
W1 W 0.000 0.000 0.500
W2 W 0.250 0.250 0.750
O1 O 0.000 0.085 0.299
O2 O 0.000 0.250 0.827
O3 O 0.186 0.121 0.589
```

Peak list (8 most intense, 5° ≤ 2θ ≤ 70°, in order of falling intensity)
2θ 27.85, d 3.203, rel. 100; 2θ 29.16, d 3.062, rel. 88; 2θ 13.82, d 6.407, rel. 69; 2θ 32.56, d 2.750, rel. 51; 2θ 16.12, d 5.500, rel. 50; 2θ 47.78, d 1.904, rel. 50; 2θ 23.36, d 3.807, rel. 37; 2θ 54.50, d 1.684, rel. 32